(1)
Starting from the PBE geometry in the Materials Project, the powder diffraction line list of V2CrTe4 was computed for copper Kα.
Kinematic intensities with the Lorentz-polarization factor, no thermal factor.

Atomic structure:
a b c (Å): 13.9446 4.0248 7.0224
angles (deg): 90.00 118.91 90.00
Space group Cm (No. 8)
Asymmetric unit:
V (0.0000, 0.0000, 0.0000) (multiplicity 2)
V (0.2444, 0.5000, 0.7238) (multiplicity 2)
Cr (0.4813, 0.0000, 0.4426) (multiplicity 2)
Te (0.1106, 0.0000, 0.7522) (multiplicity 2)
Te (0.1227, 0.5000, 0.2737) (multiplicity 2)
Te (0.3588, 0.5000, 0.1737) (multiplicity 2)
Te (0.3749, 0.0000, 0.6943) (multiplicity 2)

The 10 most intense peaks (10 to 90 degrees two-theta), by angle:
- 29.1 deg, d = 3.074 Å, rel. 26.9
- 29.3 deg, d = 3.047 Å, rel. 100.0
- 29.6 deg, d = 3.015 Å, rel. 88.7
- 39.0 deg, d = 2.311 Å, rel. 26.0
- 39.4 deg, d = 2.285 Å, rel. 27.3
- 39.6 deg, d = 2.277 Å, rel. 11.9
- 44.8 deg, d = 2.023 Å, rel. 44.9
- 45.1 deg, d = 2.012 Å, rel. 22.8
- 52.3 deg, d = 1.749 Å, rel. 14.9
- 54.9 deg, d = 1.673 Å, rel. 21.4

---

(2)
Starting from the PBE geometry in the Materials Project, the powder diffraction line list of V2CrTe4 was computed for copper Kα.
Kinematic intensities with the Lorentz-polarization factor, no thermal factor.

Atomic structure:
a b c (Å): 14.1254 3.9467 6.8270
angles (deg): 90.00 116.51 90.00
Space group C2/m (No. 12)
Asymmetric unit:
V (0.2427, 0.0000, 0.2003) (multiplicity 4)
Cr (0.0000, 0.5000, 0.5000) (multiplicity 2)
Te (0.1112, 0.5000, 0.9523) (multiplicity 4)
Te (0.1397, 0.0000, 0.4813) (multiplicity 4)

The 10 most intense peaks (10 to 90 degrees two-theta), by angle:
- 28.2 deg, d = 3.160 Å, rel. 26.4
- 29.2 deg, d = 3.054 Å, rel. 44.2
- 29.5 deg, d = 3.031 Å, rel. 100.0
- 30.0 deg, d = 2.980 Å, rel. 63.3
- 30.3 deg, d = 2.951 Å, rel. 53.5
- 38.4 deg, d = 2.343 Å, rel. 47.2
- 39.2 deg, d = 2.296 Å, rel. 36.7
- 46.0 deg, d = 1.971 Å, rel. 83.7
- 51.4 deg, d = 1.777 Å, rel. 17.1
- 56.1 deg, d = 1.640 Å, rel. 19.5

---

(3)
Starting from the PBE geometry in the Materials Project, the powder diffraction line list of Zn3CrTe4 was computed for copper Kα.
Kinematic intensities with the Lorentz-polarization factor, no thermal factor.

Atomic structure:
a b c (Å): 6.2043 6.2043 6.2043
angles (deg): 90.00 90.00 90.00
Space group P-43m (No. 215)
Asymmetric unit:
Zn (0.0000, 0.0000, 0.5000) (multiplicity 3)
Cr (0.5000, 0.5000, 0.5000) (multiplicity 1)
Te (0.2493, 0.2493, 0.7507) (multiplicity 4)

The 10 most intense peaks (10 to 90 degrees two-theta), by angle:
- 24.9 deg, d = 3.582 Å, rel. 100.0
- 28.8 deg, d = 3.102 Å, rel. 8.2
- 41.2 deg, d = 2.194 Å, rel. 71.3
- 48.7 deg, d = 1.871 Å, rel. 47.4
- 59.6 deg, d = 1.551 Å, rel. 11.6
- 65.6 deg, d = 1.423 Å, rel. 18.9
- 67.5 deg, d = 1.387 Å, rel. 3.2
- 75.0 deg, d = 1.266 Å, rel. 23.0
- 80.4 deg, d = 1.194 Å, rel. 14.0
- 89.3 deg, d = 1.097 Å, rel. 7.5